No. 1
Ac4Ho3TmBi8: calculated XRD peak list (Cu Kα, 1.54184 Å), based on a DFT-relaxed cell (GGA-PBE, Alexandria).
Intensities are scaled so that the largest is 100.

The 8 most intense peaks (2θ = 10–80°), in order of rising 2θ:
Position (°2θ)  d/Å  intensity
27.0  3.301  100.0
38.6  2.334  77.9
47.7  1.907  22.0
47.8  1.902  6.1
55.7  1.651  13.1
62.9  1.478  19.5
63.0  1.475  16.2
69.7  1.348  21.0

Cell lengths 9.3270, 9.3270, 9.3270 Å; angles 60.14, 60.14, 60.14 degrees
Sites, in units of the cell vectors:
Ac (0.0000, 0.0000, 0.0000)
Ac (0.0000, 0.5000, 0.5000)
Ac (0.5000, 0.0000, 0.5000)
Ac (0.5000, 0.5000, 0.0000)
Ho (0.0000, 0.0000, 0.5000)
Ho (0.0000, 0.5000, 0.0000)
Ho (0.5000, 0.0000, 0.0000)
Tm (0.5000, 0.5000, 0.5000)
Bi (0.2419, 0.2419, 0.2419)
Bi (0.2427, 0.7412, 0.7412)
Bi (0.2588, 0.2588, 0.7573)
Bi (0.2588, 0.7573, 0.2588)
Bi (0.7412, 0.2427, 0.7412)
Bi (0.7412, 0.7412, 0.2427)
Bi (0.7573, 0.2588, 0.2588)
Bi (0.7581, 0.7581, 0.7581)


No. 2
AcIn2Bi2: calculated XRD peak list (Cu Kα, 1.54184 Å), based on a DFT-relaxed cell (GGA-PBE, Alexandria).
Intensities are scaled so that the largest is 100.

The 8 most intense peaks (2θ = 10–80°), in order of rising 2θ:
Position (°2θ)  d/Å  intensity
30.9  2.897  100.0
31.5  2.842  16.7
36.6  2.454  17.9
38.9  2.315  15.3
49.0  1.858  13.0
54.5  1.684  11.5
62.4  1.489  13.7
65.5  1.425  11.9

Cell lengths 14.4208, 14.4208, 4.6298 Å; angles 90.00, 90.00, 160.41 degrees
Sites, in units of the cell vectors:
Ac (0.1554, 0.8446, 0.7500)
Ac (0.8446, 0.1554, 0.2500)
In (0.0423, 0.9577, 0.2500)
In (0.4553, 0.5447, 0.2500)
In (0.5447, 0.4553, 0.7500)
In (0.9577, 0.0423, 0.7500)
Bi (0.2510, 0.7490, 0.2500)
Bi (0.3705, 0.6295, 0.7500)
Bi (0.6295, 0.3705, 0.2500)
Bi (0.7490, 0.2510, 0.7500)


No. 3
Ac2InBi5: calculated XRD peak list (Cu Kα, 1.54184 Å), based on a DFT-relaxed cell (GGA-PBE, Alexandria).
Intensities are scaled so that the largest is 100.

The 8 most intense peaks (2θ = 10–80°), in order of rising 2θ:
Position (°2θ)  d/Å  intensity
30.5  2.934  100.0
34.6  2.589  18.0
34.8  2.579  17.7
36.5  2.460  15.5
49.9  1.827  13.0
59.5  1.553  15.6
59.7  1.549  15.2
62.0  1.496  13.5

Cell lengths 9.8403, 10.3166, 5.1785 Å; angles 90.00, 90.00, 90.00 degrees
Sites, in units of the cell vectors:
Ac (0.0000, 0.2434, 0.0000)
Ac (0.0000, 0.7566, 0.0000)
Ac (0.5000, 0.2566, 0.0000)
Ac (0.5000, 0.7434, 0.0000)
In (0.0000, 0.5000, 0.5000)
In (0.5000, 0.0000, 0.5000)
Bi (0.0000, 0.0000, 0.5000)
Bi (0.2424, 0.5000, 0.0000)
Bi (0.2500, 0.2500, 0.5000)
Bi (0.2500, 0.7500, 0.5000)
Bi (0.2576, 0.0000, 0.0000)
Bi (0.5000, 0.5000, 0.5000)
Bi (0.7424, 0.0000, 0.0000)
Bi (0.7500, 0.2500, 0.5000)
Bi (0.7500, 0.7500, 0.5000)
Bi (0.7576, 0.5000, 0.0000)


No. 4
Ac2InBi4: calculated XRD peak list (Cu Kα, 1.54184 Å), based on a DFT-relaxed cell (GGA-PBE, Alexandria).
Intensities are scaled so that the largest is 100.

The 8 most intense peaks (2θ = 10–80°), in order of rising 2θ:
Position (°2θ)  d/Å  intensity
24.7  3.611  22.2
27.7  3.220  20.4
30.6  2.919  13.0
31.1  2.877  100.0
37.8  2.380  40.5
45.1  2.010  15.0
54.5  1.683  14.3
64.1  1.452  26.3

Cell lengths 4.7594, 4.7594, 11.0850 Å; angles 90.00, 90.00, 90.00 degrees
Sites, in units of the cell vectors:
Ac (0.0000, 0.5000, 0.2399)
Ac (0.5000, 0.0000, 0.7601)
In (0.0000, 0.0000, 0.5000)
Bi (0.0000, 0.0000, 0.0000)
Bi (0.0000, 0.5000, 0.6703)
Bi (0.5000, 0.0000, 0.3297)
Bi (0.5000, 0.5000, 0.0000)


No. 5
AcIn6Bi: calculated XRD peak list (Cu Kα, 1.54184 Å), based on a DFT-relaxed cell (GGA-PBE, Alexandria).
Intensities are scaled so that the largest is 100.

The 8 most intense peaks (2θ = 10–80°), in order of rising 2θ:
Position (°2θ)  d/Å  intensity
30.8  2.900  28.4
32.3  2.770  29.0
33.1  2.710  100.0
45.3  2.003  19.7
56.3  1.635  16.5
58.1  1.587  20.8
59.5  1.553  8.4
69.4  1.355  8.9

Cell lengths 7.3587, 11.6011, 5.5407 Å; angles 90.00, 90.00, 90.00 degrees
Sites, in units of the cell vectors:
Ac (0.0000, 0.0000, 0.0000)
Ac (0.5000, 0.5000, 0.0000)
In (0.0000, 0.2168, 0.5000)
In (0.0000, 0.7832, 0.5000)
In (0.2107, 0.5000, 0.5000)
In (0.2500, 0.2500, 0.0000)
In (0.2500, 0.7500, 0.0000)
In (0.2893, 0.0000, 0.5000)
In (0.5000, 0.2832, 0.5000)
In (0.5000, 0.7168, 0.5000)
In (0.7107, 0.0000, 0.5000)
In (0.7500, 0.2500, 0.0000)
In (0.7500, 0.7500, 0.0000)
In (0.7893, 0.5000, 0.5000)
Bi (0.0000, 0.5000, 0.0000)
Bi (0.5000, 0.0000, 0.0000)


No. 6
Ac4InBiN: calculated XRD peak list (Cu Kα, 1.54184 Å), based on a DFT-relaxed cell (GGA-PBE, Alexandria).
Intensities are scaled so that the largest is 100.

The 8 most intense peaks (2θ = 10–80°), in order of rising 2θ:
Position (°2θ)  d/Å  intensity
26.1  3.410  70.0
26.4  3.381  68.5
29.8  2.997  54.6
31.4  2.850  75.3
31.6  2.833  74.1
34.6  2.593  100.0
46.3  1.961  66.7
59.3  1.559  30.1

Cell lengths 9.7039, 9.7039, 7.3696 Å; angles 90.00, 90.00, 135.83 degrees
Sites, in units of the cell vectors:
Ac (0.0000, 0.5000, 0.0000)
Ac (0.0000, 0.5000, 0.5000)
Ac (0.0795, 0.9205, 0.7500)
Ac (0.4172, 0.5828, 0.7500)
Ac (0.5000, 0.0000, 0.0000)
Ac (0.5000, 0.0000, 0.5000)
Ac (0.5828, 0.4172, 0.2500)
Ac (0.9205, 0.0795, 0.2500)
In (0.3869, 0.6131, 0.2500)
In (0.6131, 0.3869, 0.7500)
Bi (0.1098, 0.8902, 0.2500)
Bi (0.8902, 0.1098, 0.7500)
N (0.2753, 0.7247, 0.7500)
N (0.7247, 0.2753, 0.2500)


No. 7
AcInBiPd: calculated XRD peak list (Cu Kα, 1.54184 Å), based on a DFT-relaxed cell (GGA-PBE, Alexandria).
Intensities are scaled so that the largest is 100.

The 8 most intense peaks (2θ = 10–80°), in order of rising 2θ:
Position (°2θ)  d/Å  intensity
23.4  3.808  11.0
33.3  2.693  100.0
41.1  2.199  3.7
47.8  1.904  18.3
53.8  1.703  5.4
59.5  1.555  38.3
69.9  1.346  11.9
79.6  1.204  16.8

Cell lengths 7.6160, 7.6160, 7.6160 Å; angles 90.00, 90.00, 90.00 degrees
Sites, in units of the cell vectors:
Ac (0.0000, 0.0000, 0.0000)
Ac (0.0000, 0.5000, 0.5000)
Ac (0.5000, 0.0000, 0.5000)
Ac (0.5000, 0.5000, 0.0000)
In (0.2500, 0.2500, 0.2500)
In (0.2500, 0.7500, 0.7500)
In (0.7500, 0.2500, 0.7500)
In (0.7500, 0.7500, 0.2500)
Bi (0.0000, 0.0000, 0.5000)
Bi (0.0000, 0.5000, 0.0000)
Bi (0.5000, 0.0000, 0.0000)
Bi (0.5000, 0.5000, 0.5000)
Pd (0.2500, 0.2500, 0.7500)
Pd (0.2500, 0.7500, 0.2500)
Pd (0.7500, 0.2500, 0.2500)
Pd (0.7500, 0.7500, 0.7500)


No. 8
AcInBiSe: calculated XRD peak list (Cu Kα, 1.54184 Å), based on a DFT-relaxed cell (GGA-PBE, Alexandria).
Intensities are scaled so that the largest is 100.

The 8 most intense peaks (2θ = 10–80°), in order of rising 2θ:
Position (°2θ)  d/Å  intensity
26.0  3.431  88.5
30.9  2.890  100.0
33.4  2.679  77.8
42.8  2.112  48.1
43.9  2.062  31.8
48.0  1.895  28.5
56.3  1.634  31.1
58.2  1.584  33.4

Cell lengths 5.3585, 5.3585, 8.9346 Å; angles 90.00, 90.00, 90.00 degrees
Sites, in units of the cell vectors:
Ac (0.2500, 0.2500, 0.1723)
Ac (0.7500, 0.7500, 0.8277)
In (0.2500, 0.7500, 0.5000)
In (0.7500, 0.2500, 0.5000)
Bi (0.2500, 0.2500, 0.6797)
Bi (0.7500, 0.7500, 0.3203)
Se (0.2500, 0.7500, 0.0000)
Se (0.7500, 0.2500, 0.0000)


No. 9
AcTlInBi: calculated XRD peak list (Cu Kα, 1.54184 Å), based on a DFT-relaxed cell (GGA-PBE, Alexandria).
Intensities are scaled so that the largest is 100.

The 8 most intense peaks (2θ = 10–80°), in order of rising 2θ:
Position (°2θ)  d/Å  intensity
30.8  2.902  100.0
35.1  2.559  17.8
35.4  2.535  17.4
36.7  2.449  15.8
50.7  1.801  12.7
60.3  1.536  15.2
60.7  1.525  14.9
62.5  1.487  13.7

Cell lengths 4.8981, 5.0699, 5.1185 Å; angles 90.00, 90.00, 90.00 degrees
Sites, in units of the cell vectors:
Ac (0.0000, 0.0000, 0.0000)
Tl (0.5000, 0.0000, 0.5000)
In (0.0000, 0.5000, 0.5000)
Bi (0.5000, 0.5000, 0.0000)


No. 10
KAcBi: calculated XRD peak list (Cu Kα, 1.54184 Å), based on a DFT-relaxed cell (GGA-PBE, Alexandria).
Intensities are scaled so that the largest is 100.

The 8 most intense peaks (2θ = 10–80°), in order of rising 2θ:
Position (°2θ)  d/Å  intensity
11.9  7.450  100.0
26.6  3.355  45.7
27.7  3.218  53.4
30.3  2.954  47.6
36.0  2.493  28.6
36.9  2.435  23.9
41.5  2.176  20.9
47.1  1.928  23.9

Cell lengths 4.5512, 4.5512, 14.8998 Å; angles 90.00, 90.00, 90.00 degrees
Sites, in units of the cell vectors:
K (0.0000, 0.0000, 0.0000)
K (0.5000, 0.5000, 0.5000)
Ac (0.0000, 0.0000, 0.2629)
Ac (0.5000, 0.5000, 0.7629)
Bi (0.0000, 0.0000, 0.6959)
Bi (0.5000, 0.5000, 0.1959)


No. 11
AcLa3Bi4: calculated XRD peak list (Cu Kα, 1.54184 Å), based on a DFT-relaxed cell (GGA-PBE, Alexandria).
Intensities are scaled so that the largest is 100.

The 8 most intense peaks (2θ = 10–80°), in order of rising 2θ:
Position (°2θ)  d/Å  intensity
22.9  3.880  3.2
26.5  3.360  100.0
37.9  2.376  79.7
44.7  2.026  1.9
46.8  1.940  29.4
54.6  1.680  14.1
61.7  1.503  39.1
68.4  1.372  29.0

Cell lengths 6.7202, 6.7202, 6.7202 Å; angles 90.00, 90.00, 90.00 degrees
Sites, in units of the cell vectors:
Ac (0.0000, 0.0000, 0.0000)
La (0.0000, 0.5000, 0.5000)
La (0.5000, 0.0000, 0.5000)
La (0.5000, 0.5000, 0.0000)
Bi (0.0000, 0.0000, 0.5000)
Bi (0.0000, 0.5000, 0.0000)
Bi (0.5000, 0.0000, 0.0000)
Bi (0.5000, 0.5000, 0.5000)